Entry 1:
Starting from a PBE-relaxed structure, the powder diffractogram of Ac2HfCu2S6 was calculated for Cu Ka.
No peak broadening, texture or thermal motion is included.

Top 10 peaks for 10° ≤ 2θ ≤ 90°, sorted by position:
20.60 deg, d = 4.312 Å, rel. 64.6; 25.23 deg, d = 3.530 Å, rel. 100.0; 32.79 deg, d = 2.731 Å, rel. 39.8; 32.90 deg, d = 2.723 Å, rel. 50.1; 41.87 deg, d = 2.158 Å, rel. 59.7; 44.45 deg, d = 2.038 Å, rel. 34.6; 49.55 deg, d = 1.840 Å, rel. 36.3; 51.80 deg, d = 1.765 Å, rel. 19.0; 62.72 deg, d = 1.481 Å, rel. 20.0; 68.70 deg, d = 1.366 Å, rel. 15.2

Structure:
abc: 7.0598 7.0598 6.0812
angles: 90.00 90.00 120.00
Sites, in units of the cell vectors:
Ac  0.3333  0.6667  0.2879
Ac  0.6667  0.3333  0.7121
Hf  0.0000  0.0000  0.0000
Cu  0.3333  0.6667  0.7952
Cu  0.6667  0.3333  0.2048
S  0.0728  0.3236  0.7541
S  0.2509  0.9272  0.7541
S  0.3236  0.2509  0.2459
S  0.6764  0.7491  0.7541
S  0.7491  0.0728  0.2459
S  0.9272  0.6764  0.2459

Entry 2:
Starting from a PBE-relaxed structure, the powder diffractogram of AcCuHg3 was calculated for Cu Ka.
No peak broadening, texture or thermal motion is included.

Top 10 peaks for 10° ≤ 2θ ≤ 90°, sorted by position:
25.99 deg, d = 3.428 Å, rel. 12.2; 29.79 deg, d = 2.999 Å, rel. 8.4; 31.07 deg, d = 2.879 Å, rel. 19.3; 33.16 deg, d = 2.701 Å, rel. 100.0; 33.82 deg, d = 2.650 Å, rel. 46.2; 34.36 deg, d = 2.610 Å, rel. 54.1; 40.91 deg, d = 2.206 Å, rel. 9.3; 43.12 deg, d = 2.098 Å, rel. 13.0; 60.09 deg, d = 1.540 Å, rel. 18.7; 60.85 deg, d = 1.522 Å, rel. 10.6

Structure:
abc: 9.9836 5.3009 9.4332
angles: 90.00 90.00 90.00
Sites, in units of the cell vectors:
Ac  0.2346  0.2500  0.0193
Ac  0.2654  0.7500  0.5193
Ac  0.7346  0.2500  0.4807
Ac  0.7654  0.7500  0.9807
Cu  0.1417  0.2500  0.6889
Cu  0.3582  0.7500  0.1889
Cu  0.6418  0.2500  0.8111
Cu  0.8582  0.7500  0.3111
Hg  0.0794  0.2500  0.4082
Hg  0.0906  0.7500  0.1838
Hg  0.1044  0.7500  0.8431
Hg  0.3956  0.2500  0.3431
Hg  0.4094  0.2500  0.6838
Hg  0.4206  0.7500  0.9082
Hg  0.5794  0.2500  0.0918
Hg  0.5906  0.7500  0.3162
Hg  0.6044  0.7500  0.6569
Hg  0.8956  0.2500  0.1569
Hg  0.9094  0.2500  0.8162
Hg  0.9206  0.7500  0.5918

Entry 3:
Starting from a PBE-relaxed structure, the powder diffractogram of AcCuHg was calculated for Cu Ka.
No peak broadening, texture or thermal motion is included.

Top 10 peaks for 10° ≤ 2θ ≤ 90°, sorted by position:
25.76 deg, d = 3.459 Å, rel. 20.0; 26.49 deg, d = 3.365 Å, rel. 26.6; 29.15 deg, d = 3.063 Å, rel. 46.3; 29.80 deg, d = 2.998 Å, rel. 27.1; 30.17 deg, d = 2.962 Å, rel. 100.0; 31.79 deg, d = 2.815 Å, rel. 51.9; 34.92 deg, d = 2.569 Å, rel. 40.6; 37.60 deg, d = 2.392 Å, rel. 58.3; 44.43 deg, d = 2.039 Å, rel. 22.5; 49.06 deg, d = 1.857 Å, rel. 19.8

Structure:
abc: 6.9816 6.5971 8.5789
angles: 90.00 126.26 90.00
Sites, in units of the cell vectors:
Ac  0.2048  0.1449  0.4311
Ac  0.2048  0.3551  0.9311
Ac  0.7952  0.6449  0.0689
Ac  0.7952  0.8551  0.5689
Cu  0.3500  0.5628  0.3304
Cu  0.3500  0.9372  0.8304
Cu  0.6500  0.0628  0.1696
Cu  0.6500  0.4372  0.6696
Hg  0.2503  0.6343  0.5883
Hg  0.2503  0.8657  0.0883
Hg  0.7497  0.1343  0.9117
Hg  0.7497  0.3657  0.4117

Entry 4:
Starting from a PBE-relaxed structure, the powder diffractogram of Ac6CuHg5 was calculated for Cu Ka.
No peak broadening, texture or thermal motion is included.

Top 10 peaks for 10° ≤ 2θ ≤ 90°, sorted by position:
31.49 deg, d = 2.841 Å, rel. 100.0; 31.58 deg, d = 2.833 Å, rel. 20.1; 45.00 deg, d = 2.015 Å, rel. 7.6; 45.23 deg, d = 2.005 Å, rel. 15.0; 56.00 deg, d = 1.642 Å, rel. 15.9; 56.12 deg, d = 1.639 Å, rel. 23.6; 56.20 deg, d = 1.637 Å, rel. 8.0; 65.71 deg, d = 1.421 Å, rel. 9.8; 74.51 deg, d = 1.273 Å, rel. 6.8; 74.80 deg, d = 1.269 Å, rel. 6.8

Structure:
abc: 5.6660 8.0581 8.9680
angles: 90.00 108.32 90.00
Sites, in units of the cell vectors:
Ac  0.0000  0.2393  0.0000
Ac  0.0000  0.7607  0.0000
Ac  0.3391  0.2449  0.6766
Ac  0.3391  0.7551  0.6766
Ac  0.6609  0.2449  0.3234
Ac  0.6609  0.7551  0.3234
Cu  0.5000  0.0000  0.0000
Hg  0.1666  0.5000  0.3351
Hg  0.1692  0.0000  0.3405
Hg  0.5000  0.5000  0.0000
Hg  0.8308  0.0000  0.6595
Hg  0.8334  0.5000  0.6649

Entry 5:
Starting from a PBE-relaxed structure, the powder diffractogram of Ac3Cu2Hg was calculated for Cu Ka.
No peak broadening, texture or thermal motion is included.

Top 10 peaks for 10° ≤ 2θ ≤ 90°, sorted by position:
22.93 deg, d = 3.879 Å, rel. 12.6; 32.50 deg, d = 2.755 Å, rel. 100.0; 32.65 deg, d = 2.743 Å, rel. 51.3; 46.42 deg, d = 1.956 Å, rel. 8.4; 46.84 deg, d = 1.940 Å, rel. 19.1; 57.90 deg, d = 1.593 Å, rel. 17.5; 58.17 deg, d = 1.586 Å, rel. 38.7; 68.07 deg, d = 1.377 Å, rel. 10.8; 68.39 deg, d = 1.372 Å, rel. 8.0; 77.83 deg, d = 1.227 Å, rel. 17.0

Structure:
abc: 3.8791 3.8791 11.7374
angles: 90.00 90.00 90.00
Sites, in units of the cell vectors:
Ac  0.0000  0.0000  0.0000
Ac  0.0000  0.0000  0.3184
Ac  0.0000  0.0000  0.6816
Cu  0.5000  0.5000  0.1594
Cu  0.5000  0.5000  0.8406
Hg  0.5000  0.5000  0.5000

Entry 6:
Starting from a PBE-relaxed structure, the powder diffractogram of Ac4CuHg was calculated for Cu Ka.
No peak broadening, texture or thermal motion is included.

Top 10 peaks for 10° ≤ 2θ ≤ 90°, sorted by position:
19.92 deg, d = 4.456 Å, rel. 19.0; 22.81 deg, d = 3.899 Å, rel. 16.9; 23.16 deg, d = 3.840 Å, rel. 34.0; 32.73 deg, d = 2.736 Å, rel. 100.0; 32.99 deg, d = 2.715 Å, rel. 50.2; 40.49 deg, d = 2.228 Å, rel. 15.7; 47.35 deg, d = 1.920 Å, rel. 18.7; 58.26 deg, d = 1.584 Å, rel. 18.4; 58.75 deg, d = 1.572 Å, rel. 38.7; 68.61 deg, d = 1.368 Å, rel. 11.4

Structure:
abc: 5.4302 5.4302 7.7981
angles: 90.01 90.01 90.00
Sites, in units of the cell vectors:
Ac  0.2494  0.7503  0.4721
Ac  0.2499  0.7501  0.0000
Ac  0.7503  0.2494  0.4721
Ac  0.7501  0.2499  0.0000
Cu  0.2507  0.2507  0.2368
Hg  0.7499  0.7499  0.7360

Entry 7:
Starting from a PBE-relaxed structure, the powder diffractogram of AcMgCuHg was calculated for Cu Ka.
No peak broadening, texture or thermal motion is included.

Top 10 peaks for 10° ≤ 2θ ≤ 90°, sorted by position:
20.77 deg, d = 4.276 Å, rel. 46.4; 34.25 deg, d = 2.618 Å, rel. 100.0; 40.39 deg, d = 2.233 Å, rel. 26.6; 49.21 deg, d = 1.851 Å, rel. 18.2; 53.97 deg, d = 1.699 Å, rel. 11.9; 61.32 deg, d = 1.512 Å, rel. 37.6; 65.49 deg, d = 1.425 Å, rel. 9.1; 72.15 deg, d = 1.309 Å, rel. 11.6; 76.02 deg, d = 1.252 Å, rel. 9.1; 82.35 deg, d = 1.171 Å, rel. 16.5

Structure:
abc: 5.2368 5.2368 5.2368
angles: 60.00 60.00 60.00
Sites, in units of the cell vectors:
Ac  0.0000  0.0000  0.0000
Mg  0.5000  0.5000  0.5000
Cu  0.2500  0.2500  0.2500
Hg  0.7500  0.7500  0.7500

Entry 8:
Starting from a PBE-relaxed structure, the powder diffractogram of AcCu4HgO6 was calculated for Cu Ka.
No peak broadening, texture or thermal motion is included.

Top 10 peaks for 10° ≤ 2θ ≤ 90°, sorted by position:
18.29 deg, d = 4.851 Å, rel. 34.9; 31.36 deg, d = 2.852 Å, rel. 100.0; 31.95 deg, d = 2.801 Å, rel. 69.9; 37.06 deg, d = 2.426 Å, rel. 15.5; 45.38 deg, d = 1.998 Å, rel. 24.7; 55.45 deg, d = 1.657 Å, rel. 11.3; 56.57 deg, d = 1.627 Å, rel. 37.2; 56.94 deg, d = 1.617 Å, rel. 13.6; 66.80 deg, d = 1.400 Å, rel. 11.1; 75.65 deg, d = 1.257 Å, rel. 15.7

Structure:
abc: 5.6020 5.6020 7.0519
angles: 90.00 90.00 120.00
Sites, in units of the cell vectors:
Ac  0.0000  0.0000  0.0000
Cu  0.3333  0.6667  0.3099
Cu  0.3333  0.6667  0.6901
Cu  0.6667  0.3333  0.3099
Cu  0.6667  0.3333  0.6901
Hg  0.0000  0.0000  0.5000
O  0.0000  0.5000  0.1961
O  0.0000  0.5000  0.8039
O  0.5000  0.0000  0.1961
O  0.5000  0.0000  0.8039
O  0.5000  0.5000  0.1961
O  0.5000  0.5000  0.8039

Entry 9:
Starting from a PBE-relaxed structure, the powder diffractogram of Ac3Cu2HgPd9 was calculated for Cu Ka.
No peak broadening, texture or thermal motion is included.

Top 10 peaks for 10° ≤ 2θ ≤ 90°, sorted by position:
23.03 deg, d = 3.862 Å, rel. 44.1; 29.99 deg, d = 2.980 Å, rel. 86.3; 30.36 deg, d = 2.945 Å, rel. 22.6; 38.44 deg, d = 2.342 Å, rel. 100.0; 45.29 deg, d = 2.002 Å, rel. 14.5; 47.06 deg, d = 1.931 Å, rel. 55.9; 62.32 deg, d = 1.490 Å, rel. 23.6; 63.15 deg, d = 1.472 Å, rel. 21.8; 64.37 deg, d = 1.447 Å, rel. 18.5; 81.62 deg, d = 1.180 Å, rel. 21.5

Structure:
abc: 7.7244 7.7244 6.5586
angles: 90.00 90.00 120.00
Sites, in units of the cell vectors:
Ac  0.0000  0.0000  0.0000
Ac  0.3333  0.6667  0.6618
Ac  0.6667  0.3333  0.3382
Cu  0.3333  0.6667  0.1386
Cu  0.6667  0.3333  0.8614
Hg  0.0000  0.0000  0.5000
Pd  0.0000  0.5000  0.0000
Pd  0.1756  0.3512  0.3192
Pd  0.1756  0.8244  0.3192
Pd  0.3512  0.1756  0.6808
Pd  0.5000  0.0000  0.0000
Pd  0.5000  0.5000  0.0000
Pd  0.6488  0.8244  0.3192
Pd  0.8244  0.1756  0.6808
Pd  0.8244  0.6488  0.6808

Entry 10:
Starting from a PBE-relaxed structure, the powder diffractogram of Ac2Cu3Sn4Hg was calculated for Cu Ka.
No peak broadening, texture or thermal motion is included.

Top 10 peaks for 10° ≤ 2θ ≤ 90°, sorted by position:
30.88 deg, d = 2.896 Å, rel. 45.5; 31.51 deg, d = 2.839 Å, rel. 100.0; 38.47 deg, d = 2.340 Å, rel. 52.0; 45.36 deg, d = 1.999 Å, rel. 22.7; 50.12 deg, d = 1.820 Å, rel. 24.1; 55.54 deg, d = 1.655 Å, rel. 18.1; 57.22 deg, d = 1.610 Å, rel. 12.2; 60.95 deg, d = 1.520 Å, rel. 19.0; 65.27 deg, d = 1.430 Å, rel. 25.7; 80.75 deg, d = 1.190 Å, rel. 11.1

Structure:
abc: 4.6799 4.6799 11.0575
angles: 90.00 90.00 90.00
Sites, in units of the cell vectors:
Ac  0.0000  0.5000  0.2497
Ac  0.5000  0.0000  0.7503
Cu  0.0000  0.0000  0.0000
Cu  0.0000  0.5000  0.6244
Cu  0.5000  0.0000  0.3756
Sn  0.0000  0.0000  0.5000
Sn  0.0000  0.5000  0.8577
Sn  0.5000  0.0000  0.1423
Sn  0.5000  0.5000  0.5000
Hg  0.5000  0.5000  0.0000

Entry 11:
Starting from a PBE-relaxed structure, the powder diffractogram of Ac2HoCu9 was calculated for Cu Ka.
No peak broadening, texture or thermal motion is included.

Top 10 peaks for 10° ≤ 2θ ≤ 90°, sorted by position:
19.86 deg, d = 4.470 Å, rel. 14.4; 30.70 deg, d = 2.913 Å, rel. 50.4; 33.42 deg, d = 2.681 Å, rel. 48.9; 34.25 deg, d = 2.618 Å, rel. 50.1; 39.97 deg, d = 2.256 Å, rel. 100.0; 42.36 deg, d = 2.134 Å, rel. 15.2; 59.14 deg, d = 1.562 Å, rel. 18.9; 60.80 deg, d = 1.523 Å, rel. 18.2; 65.21 deg, d = 1.431 Å, rel. 14.9; 72.17 deg, d = 1.309 Å, rel. 18.2

Structure:
abc: 9.3682 9.3682 9.3682
angles: 32.45 32.45 32.45
Sites, in units of the cell vectors:
Ac  0.1356  0.1356  0.1356
Ac  0.8644  0.8644  0.8644
Ho  0.0000  0.0000  0.0000
Cu  0.0786  0.5737  0.5737
Cu  0.3323  0.3323  0.3323
Cu  0.4263  0.4263  0.9214
Cu  0.4263  0.9214  0.4263
Cu  0.5000  0.5000  0.5000
Cu  0.5737  0.0786  0.5737
Cu  0.5737  0.5737  0.0786
Cu  0.6677  0.6677  0.6677
Cu  0.9214  0.4263  0.4263

Entry 12:
Starting from a PBE-relaxed structure, the powder diffractogram of AcCuPI was calculated for Cu Ka.
No peak broadening, texture or thermal motion is included.

Top 10 peaks for 10° ≤ 2θ ≤ 90°, sorted by position:
11.71 deg, d = 7.554 Å, rel. 41.4; 23.98 deg, d = 3.710 Å, rel. 36.9; 27.64 deg, d = 3.227 Å, rel. 100.0; 28.69 deg, d = 3.111 Å, rel. 60.3; 35.27 deg, d = 2.545 Å, rel. 28.2; 36.79 deg, d = 2.443 Å, rel. 36.5; 42.04 deg, d = 2.149 Å, rel. 52.5; 51.05 deg, d = 1.789 Å, rel. 18.5; 60.82 deg, d = 1.523 Å, rel. 29.1; 68.21 deg, d = 1.375 Å, rel. 15.8

Structure:
abc: 15.3106 15.3106 15.3106
angles: 16.14 16.14 16.14
Sites, in units of the cell vectors:
Ac  0.0695  0.0695  0.0695
Ac  0.9305  0.9305  0.9305
Cu  0.3138  0.3138  0.3138
Cu  0.6862  0.6862  0.6862
P  0.3663  0.3663  0.3663
P  0.6337  0.6337  0.6337
I  0.2126  0.2126  0.2126
I  0.7874  0.7874  0.7874